(1)
TiSi2: computed PXRD pattern (a wavelength of 1.5418 Å), based on a crystal structure in the Materials Project, relaxed with PBE.

Main lines, by angle (5° ≤ 2θ ≤ 70°):
20.96°, rel. 12
33.87°, rel. 4
34.24°, rel. 4
35.55°, rel. 100
38.99°, rel. 76
41.32°, rel. 2
41.94°, rel. 2
50.62°, rel. 17
51.68°, rel. 16
53.53°, rel. 28
54.04°, rel. 28
66.14°, rel. 15

Crystal structure
```
data_TiSi2
_chemical_formula_sum 'Ti2 Si4'
_cell_length_a 5.309
_cell_length_b 5.262
_cell_length_c 5.052
_cell_angle_alpha 61.92
_cell_angle_beta 60.99
_cell_angle_gamma 57.09
_space_group_name_H-M_alt 'P 1'
_space_group_IT_number 1
loop_
_space_group_symop_operation_xyz
'x,y,z'
loop_
_atom_site_label
_atom_site_fract_x
_atom_site_fract_y
_atom_site_fract_z
_atom_site_occupancy
Ti1 0.125 0.125 0.125 1
Ti2 0.875 0.875 0.875 1
Si1 0.209 0.209 0.541 1
Si2 0.459 0.459 0.791 1
Si3 0.541 0.541 0.209 1
Si4 0.791 0.791 0.459 1
```

=====

(2)
Ca2TiIrO6: computed PXRD pattern (a wavelength of 1.5418 Å), based on a crystal structure in the Materials Project, relaxed with PBE.

Main lines, by angle (5° ≤ 2θ ≤ 70°):
19.64°, rel. 41
20.06°, rel. 39
22.92°, rel. 50
23.05°, rel. 23
32.09°, rel. 25
32.73°, rel. 100
33.17°, rel. 24
38.14°, rel. 17
46.82°, rel. 29
47.09°, rel. 16
57.61°, rel. 17
58.91°, rel. 17

Crystal structure
```
data_Ca2TiIrO6
_chemical_formula_sum 'Ca4 Ti2 Ir2 O12'
_cell_length_a 5.402
_cell_length_b 5.578
_cell_length_c 9.412
_cell_angle_alpha 90.00
_cell_angle_beta 124.91
_cell_angle_gamma 90.00
_space_group_name_H-M_alt 'P 1'
_space_group_IT_number 1
loop_
_space_group_symop_operation_xyz
'x,y,z'
loop_
_atom_site_label
_atom_site_fract_x
_atom_site_fract_y
_atom_site_fract_z
_atom_site_occupancy
Ca1 0.236 0.054 0.250 1
Ca2 0.236 0.446 0.750 1
Ca3 0.764 0.554 0.250 1
Ca4 0.764 0.946 0.750 1
Ti1 0.500 0.000 0.000 1
Ti2 0.500 0.500 0.500 1
Ir1 0.000 0.000 0.500 1
Ir2 0.000 0.500 0.000 1
O1 0.160 0.203 0.956 1
O2 0.160 0.297 0.456 1
O3 0.254 0.710 0.954 1
O4 0.254 0.790 0.454 1
O5 0.339 0.024 0.752 1
O6 0.339 0.476 0.252 1
O7 0.661 0.524 0.748 1
O8 0.661 0.976 0.248 1
O9 0.746 0.210 0.546 1
O10 0.746 0.290 0.046 1
O11 0.840 0.703 0.544 1
O12 0.840 0.797 0.044 1
```

=====

(3)
Cr7Cd3In2S16: computed PXRD pattern (a wavelength of 1.5418 Å), based on a crystal structure in the Materials Project, relaxed with PBE.

Main lines, by angle (5° ≤ 2θ ≤ 70°):
23.95°, rel. 17
24.30°, rel. 54
28.10°, rel. 45
28.41°, rel. 100
28.56°, rel. 14
34.38°, rel. 33
44.87°, rel. 15
45.18°, rel. 34
45.38°, rel. 28
49.03°, rel. 49
49.79°, rel. 52
69.63°, rel. 14

Crystal structure
```
data_Cr7Cd3In2S16
_chemical_formula_sum 'Cr7 Cd3 In2 S16'
_cell_length_a 7.430
_cell_length_b 7.327
_cell_length_c 10.440
_cell_angle_alpha 90.00
_cell_angle_beta 91.19
_cell_angle_gamma 90.00
_space_group_name_H-M_alt 'P 1'
_space_group_IT_number 1
loop_
_space_group_symop_operation_xyz
'x,y,z'
loop_
_atom_site_label
_atom_site_fract_x
_atom_site_fract_y
_atom_site_fract_z
_atom_site_occupancy
Cr1 0.000 0.000 0.000 1
Cr2 0.003 0.248 0.627 1
Cr3 0.003 0.752 0.627 1
Cr4 0.250 0.500 0.876 1
Cr5 0.501 0.247 0.122 1
Cr6 0.501 0.753 0.122 1
Cr7 0.753 0.000 0.373 1
Cd1 0.005 0.500 0.247 1
Cd2 0.499 0.500 0.501 1
Cd3 0.505 0.000 0.749 1
In1 0.250 0.000 0.373 1
In2 0.754 0.500 0.876 1
S1 0.019 0.259 0.863 1
S2 0.019 0.741 0.863 1
S3 0.213 0.000 0.622 1
S4 0.219 0.500 0.642 1
S5 0.277 0.000 0.119 1
S6 0.284 0.500 0.109 1
S7 0.485 0.273 0.893 1
S8 0.485 0.727 0.893 1
S9 0.518 0.226 0.353 1
S10 0.518 0.774 0.353 1
S11 0.712 0.500 0.122 1
S12 0.732 0.000 0.134 1
S13 0.783 0.000 0.609 1
S14 0.792 0.500 0.629 1
S15 0.985 0.229 0.395 1
S16 0.985 0.771 0.395 1
```

=====

(4)
Te4MoW3Se2S2: computed PXRD pattern (a wavelength of 1.5418 Å), based on a crystal structure in the Materials Project, relaxed with PBE.

Main lines, by angle (5° ≤ 2θ ≤ 70°):
11.03°, rel. 100
13.25°, rel. 17
30.36°, rel. 40
32.37°, rel. 13
34.22°, rel. 14
35.34°, rel. 69
36.56°, rel. 16
42.43°, rel. 48
44.10°, rel. 16
53.91°, rel. 29
55.20°, rel. 11
66.11°, rel. 11

Crystal structure
```
data_Te4MoW3Se2S2
_chemical_formula_sum 'Te4 Mo1 W3 Se2 S2'
_cell_length_a 3.402
_cell_length_b 3.402
_cell_length_c 40.098
_cell_angle_alpha 90.00
_cell_angle_beta 90.00
_cell_angle_gamma 120.00
_space_group_name_H-M_alt 'P 1'
_space_group_IT_number 1
loop_
_space_group_symop_operation_xyz
'x,y,z'
loop_
_atom_site_label
_atom_site_fract_x
_atom_site_fract_y
_atom_site_fract_z
_atom_site_occupancy
Te1 0.000 0.000 0.000 1
Te2 0.000 0.000 0.094 1
Te3 0.333 0.667 0.190 1
Te4 0.333 0.667 0.284 1
Mo1 0.000 0.000 0.860 1
W1 0.000 0.000 0.237 1
W2 0.333 0.667 0.047 1
W3 0.333 0.667 0.424 1
Se1 0.333 0.667 0.819 1
Se2 0.333 0.667 0.901 1
S1 0.000 0.000 0.386 1
S2 0.000 0.000 0.461 1
```

=====

(5)
K2SnS3: computed PXRD pattern (a wavelength of 1.5418 Å), based on a crystal structure in the Materials Project, relaxed with PBE.

Main lines, by angle (5° ≤ 2θ ≤ 70°):
12.80°, rel. 99
14.36°, rel. 39
15.56°, rel. 62
15.89°, rel. 37
16.12°, rel. 76
24.51°, rel. 38
25.74°, rel. 43
26.05°, rel. 100
32.69°, rel. 35
39.04°, rel. 41
42.44°, rel. 35
53.58°, rel. 37

Crystal structure
```
data_K2SnS3
_chemical_formula_sum 'K4 Sn2 S6'
_cell_length_a 6.896
_cell_length_b 7.622
_cell_length_c 8.377
_cell_angle_alpha 75.58
_cell_angle_beta 72.62
_cell_angle_gamma 66.59
_space_group_name_H-M_alt 'P 1'
_space_group_IT_number 1
loop_
_space_group_symop_operation_xyz
'x,y,z'
loop_
_atom_site_label
_atom_site_fract_x
_atom_site_fract_y
_atom_site_fract_z
_atom_site_occupancy
K1 0.087 0.209 0.126 1
K2 0.350 0.539 0.307 1
K3 0.650 0.461 0.693 1
K4 0.913 0.791 0.874 1
Sn1 0.355 0.064 0.693 1
Sn2 0.645 0.936 0.307 1
S1 0.156 0.393 0.720 1
S2 0.273 0.955 0.470 1
S3 0.366 0.819 0.931 1
S4 0.634 0.181 0.069 1
S5 0.727 0.045 0.530 1
S6 0.844 0.607 0.280 1
```

=====

(6)
AlCuGeSe4: computed PXRD pattern (a wavelength of 1.5418 Å), based on a crystal structure in the Materials Project, relaxed with PBE.

Main lines, by angle (5° ≤ 2θ ≤ 70°):
16.47°, rel. 5
22.51°, rel. 9
28.02°, rel. 100
32.05°, rel. 6
36.24°, rel. 8
40.57°, rel. 5
45.96°, rel. 23
46.89°, rel. 43
54.70°, rel. 29
56.33°, rel. 13
67.03°, rel. 7
69.91°, rel. 3

Crystal structure
```
data_AlCuGeSe4
_chemical_formula_sum 'Al1 Cu1 Ge1 Se4'
_cell_length_a 6.675
_cell_length_b 6.675
_cell_length_c 6.675
_cell_angle_alpha 130.54
_cell_angle_beta 130.54
_cell_angle_gamma 72.54
_space_group_name_H-M_alt 'P 1'
_space_group_IT_number 1
loop_
_space_group_symop_operation_xyz
'x,y,z'
loop_
_atom_site_label
_atom_site_fract_x
_atom_site_fract_y
_atom_site_fract_z
_atom_site_occupancy
Al1 0.000 0.000 0.000 1
Cu1 0.250 0.750 0.500 1
Ge1 0.750 0.250 0.500 1
Se1 0.143 0.144 0.524 1
Se2 0.380 0.857 0.001 1
Se3 0.621 0.620 0.476 1
Se4 0.856 0.379 0.999 1
```

=====

(7)
Be3P2: computed PXRD pattern (a wavelength of 1.5418 Å), based on a crystal structure in the Materials Project, relaxed with PBE.

Main lines, by angle (5° ≤ 2θ ≤ 70°):
24.79°, rel. 3
30.49°, rel. 100
35.35°, rel. 24
43.66°, rel. 1
50.85°, rel. 52
60.46°, rel. 36
63.45°, rel. 5

Crystal structure
```
data_Be3P2
_chemical_formula_sum 'Be6 P4'
_cell_length_a 5.078
_cell_length_b 5.078
_cell_length_c 5.078
_cell_angle_alpha 90.00
_cell_angle_beta 90.00
_cell_angle_gamma 90.00
_space_group_name_H-M_alt 'P 1'
_space_group_IT_number 1
loop_
_space_group_symop_operation_xyz
'x,y,z'
loop_
_atom_site_label
_atom_site_fract_x
_atom_site_fract_y
_atom_site_fract_z
_atom_site_occupancy
Be1 0.250 0.250 0.750 1
Be2 0.250 0.750 0.250 1
Be3 0.250 0.750 0.750 1
Be4 0.750 0.250 0.250 1
Be5 0.750 0.250 0.750 1
Be6 0.750 0.750 0.250 1
P1 0.000 0.000 0.000 1
P2 0.000 0.500 0.500 1
P3 0.500 0.000 0.500 1
P4 0.500 0.500 0.000 1
```

=====

(8)
Al2CuO4: computed PXRD pattern (a wavelength of 1.5418 Å), based on a crystal structure in the Materials Project, relaxed with PBE.

Main lines, by angle (5° ≤ 2θ ≤ 70°):
18.85°, rel. 4
31.01°, rel. 76
36.54°, rel. 100
44.43°, rel. 5
48.66°, rel. 10
55.17°, rel. 24
58.83°, rel. 42
64.65°, rel. 47
68.00°, rel. 1

Crystal structure
```
data_Al2CuO4
_chemical_formula_sum 'Al4 Cu2 O8'
_cell_length_a 5.767
_cell_length_b 5.767
_cell_length_c 5.767
_cell_angle_alpha 60.00
_cell_angle_beta 60.00
_cell_angle_gamma 60.00
_space_group_name_H-M_alt 'P 1'
_space_group_IT_number 1
loop_
_space_group_symop_operation_xyz
'x,y,z'
loop_
_atom_site_label
_atom_site_fract_x
_atom_site_fract_y
_atom_site_fract_z
_atom_site_occupancy
Al1 0.000 0.000 0.000 1
Al2 0.000 0.000 0.500 1
Al3 0.000 0.500 0.000 1
Al4 0.500 0.000 0.000 1
Cu1 0.375 0.375 0.375 1
Cu2 0.625 0.625 0.625 1
O1 0.206 0.765 0.765 1
O2 0.235 0.235 0.235 1
O3 0.235 0.235 0.794 1
O4 0.235 0.794 0.235 1
O5 0.765 0.206 0.765 1
O6 0.765 0.765 0.206 1
O7 0.765 0.765 0.765 1
O8 0.794 0.235 0.235 1
```

=====

(9)
B: computed PXRD pattern (a wavelength of 1.5418 Å), based on a crystal structure in the Materials Project, relaxed with PBE.

Main lines, by angle (5° ≤ 2θ ≤ 70°):
20.77°, rel. 100
34.23°, rel. 34
40.38°, rel. 33
42.26°, rel. 12
55.47°, rel. 10
61.30°, rel. 7
65.46°, rel. 38

Crystal structure
```
data_B
_chemical_formula_sum 'B12'
_cell_length_a 5.239
_cell_length_b 5.239
_cell_length_c 5.239
_cell_angle_alpha 60.00
_cell_angle_beta 60.00
_cell_angle_gamma 60.00
_space_group_name_H-M_alt 'P 1'
_space_group_IT_number 1
loop_
_space_group_symop_operation_xyz
'x,y,z'
loop_
_atom_site_label
_atom_site_fract_x
_atom_site_fract_y
_atom_site_fract_z
_atom_site_occupancy
B1 0.000 0.000 0.338 1
B2 0.000 0.000 0.662 1
B3 0.000 0.338 0.000 1
B4 0.000 0.338 0.662 1
B5 0.000 0.662 0.000 1
B6 0.000 0.662 0.338 1
B7 0.338 0.000 0.000 1
B8 0.338 0.000 0.662 1
B9 0.338 0.662 0.000 1
B10 0.662 0.000 0.000 1
B11 0.662 0.000 0.338 1
B12 0.662 0.338 0.000 1
```

=====

(10)
TeMo2SeS2: computed PXRD pattern (a wavelength of 1.5418 Å), based on a crystal structure in the Materials Project, relaxed with PBE.

Main lines, by angle (5° ≤ 2θ ≤ 70°):
7.06°, rel. 63
11.77°, rel. 100
14.14°, rel. 19
31.22°, rel. 55
33.46°, rel. 13
36.73°, rel. 96
39.54°, rel. 17
41.11°, rel. 12
44.51°, rel. 49
46.34°, rel. 16
55.55°, rel. 32
68.45°, rel. 15

Crystal structure
```
data_TeMo2SeS2
_chemical_formula_sum 'Te2 Mo4 Se2 S4'
_cell_length_a 3.309
_cell_length_b 3.309
_cell_length_c 37.583
_cell_angle_alpha 90.00
_cell_angle_beta 90.00
_cell_angle_gamma 120.00
_space_group_name_H-M_alt 'P 1'
_space_group_IT_number 1
loop_
_space_group_symop_operation_xyz
'x,y,z'
loop_
_atom_site_label
_atom_site_fract_x
_atom_site_fract_y
_atom_site_fract_z
_atom_site_occupancy
Te1 0.000 0.000 0.000 1
Te2 0.000 0.000 0.102 1
Mo1 0.000 0.000 0.487 1
Mo2 0.000 0.000 0.863 1
Mo3 0.333 0.667 0.051 1
Mo4 0.333 0.667 0.675 1
Se1 0.000 0.000 0.630 1
Se2 0.000 0.000 0.720 1
S1 0.333 0.667 0.447 1
S2 0.333 0.667 0.528 1
S3 0.333 0.667 0.822 1
S4 0.333 0.667 0.904 1
```

=====

(11)
BaTi6O12: computed PXRD pattern (a wavelength of 1.5418 Å), based on a crystal structure in the Materials Project, relaxed with PBE.

Main lines, by angle (5° ≤ 2θ ≤ 70°):
23.30°, rel. 44
23.44°, rel. 43
24.42°, rel. 35
27.17°, rel. 57
27.52°, rel. 99
27.77°, rel. 100
28.12°, rel. 54
35.94°, rel. 85
39.50°, rel. 44
39.94°, rel. 46
40.42°, rel. 44
53.14°, rel. 37

Crystal structure
```
data_BaTi6O12
_chemical_formula_sum 'Ba2 Ti12 O24'
_cell_length_a 8.433
_cell_length_b 8.433
_cell_length_c 10.072
_cell_angle_alpha 125.78
_cell_angle_beta 125.78
_cell_angle_gamma 64.18
_space_group_name_H-M_alt 'P 1'
_space_group_IT_number 1
loop_
_space_group_symop_operation_xyz
'x,y,z'
loop_
_atom_site_label
_atom_site_fract_x
_atom_site_fract_y
_atom_site_fract_z
_atom_site_occupancy
Ba1 0.217 0.783 0.000 1
Ba2 0.783 0.217 0.000 1
Ti1 0.016 0.686 0.518 1
Ti2 0.166 0.166 0.820 1
Ti3 0.171 0.502 0.183 1
Ti4 0.314 0.984 0.482 1
Ti5 0.351 0.351 0.521 1
Ti6 0.498 0.829 0.817 1
Ti7 0.502 0.171 0.183 1
Ti8 0.649 0.649 0.479 1
Ti9 0.686 0.016 0.518 1
Ti10 0.829 0.498 0.817 1
Ti11 0.834 0.834 0.180 1
Ti12 0.984 0.314 0.482 1
O1 0.127 0.792 0.278 1
O2 0.129 0.463 0.947 1
O3 0.153 0.153 0.616 1
O4 0.157 0.157 0.351 1
O5 0.174 0.508 0.645 1
O6 0.176 0.510 0.382 1
O7 0.201 0.201 0.053 1
O8 0.208 0.873 0.722 1
O9 0.461 0.461 0.283 1
O10 0.463 0.129 0.947 1
O11 0.490 0.824 0.618 1
O12 0.492 0.826 0.355 1
O13 0.508 0.174 0.645 1
O14 0.510 0.176 0.382 1
O15 0.537 0.871 0.053 1
O16 0.539 0.539 0.717 1
O17 0.792 0.127 0.278 1
O18 0.799 0.799 0.947 1
O19 0.824 0.490 0.618 1
O20 0.826 0.492 0.355 1
O21 0.843 0.843 0.649 1
O22 0.847 0.847 0.384 1
O23 0.871 0.537 0.053 1
O24 0.873 0.208 0.722 1
```

=====

(12)
BaLiH3: computed PXRD pattern (a wavelength of 1.5418 Å), based on a crystal structure in the Materials Project, relaxed with PBE.

Main lines, by angle (5° ≤ 2θ ≤ 70°):
17.51°, rel. 100
24.86°, rel. 97
30.57°, rel. 31
35.44°, rel. 21
39.79°, rel. 50
43.77°, rel. 42
50.99°, rel. 14
54.33°, rel. 25
57.53°, rel. 19
60.63°, rel. 14
66.56°, rel. 11
69.42°, rel. 22

Crystal structure
```
data_BaLiH3
_chemical_formula_sum 'Ba1 Li1 H3'
_cell_length_a 5.066
_cell_length_b 5.066
_cell_length_c 5.066
_cell_angle_alpha 90.00
_cell_angle_beta 90.00
_cell_angle_gamma 90.00
_space_group_name_H-M_alt 'P 1'
_space_group_IT_number 1
loop_
_space_group_symop_operation_xyz
'x,y,z'
loop_
_atom_site_label
_atom_site_fract_x
_atom_site_fract_y
_atom_site_fract_z
_atom_site_occupancy
Ba1 0.000 0.000 0.000 1
Li1 0.500 0.500 0.500 1
H1 0.000 0.000 0.500 1
H2 0.000 0.500 0.000 1
H3 0.500 0.000 0.000 1
```